Structure and calculated powder diffractogram of Re2SbAsP (a cell relaxed with GGA-PBE; Cu Kα X-rays).

Main lines, sorted by position (2θ from 10° to 90°):
(0 0 1), 2θ 18.97, intensity 145; (1 1 1), 2θ 33.91, intensity 1000; (0 0 2), 2θ 38.48, intensity 220; (2 0 0), 2θ 39.79, intensity 401; (2 0 2), 2θ 56.55, intensity 287; (1 1 3), 2θ 66.70, intensity 142; (3 1 1), 2θ 68.49, intensity 263; (2 2 2), 2θ 71.36, intensity 143

Structural model:
Lattice parameters (Å, degrees): 4.531 4.531 4.679 90.00 90.00 90.00
Positions (direct):
Re (0.000, 0.500, 0.000)
Re (0.500, 0.000, 0.000)
Sb (0.000, 0.000, 0.500)
As (0.500, 0.500, 0.500)
P (0.500, 0.500, 0.000)